(1)
Structure and computed X-ray powder pattern of Dy4In5Pd2 (a cell relaxed with PBE; Cu Kα (λ = 1.5418 Å)).

Atomic structure:
Cell: 7.7187 3.6360 9.6957 Å, 90.00 94.56 90.00°
Element x y z (fractional)
1 Dy 0.1798 0.0000 0.3581
2 Dy 0.2261 0.0000 0.9386
3 Dy 0.7739 0.0000 0.0614
4 Dy 0.8202 0.0000 0.6419
5 In 0.1720 0.5000 0.6494
6 In 0.4543 0.5000 0.1777
7 In 0.5000 0.5000 0.5000
8 In 0.5457 0.5000 0.8223
9 In 0.8280 0.5000 0.3506
10 Pd 0.0733 0.5000 0.1383
11 Pd 0.9267 0.5000 0.8617

Principal peaks in the range 2θ from 10° to 90°, in order of falling intensity:
| 2θ (°) | I_rel |
| --- | --- |
| 33.5 | 100.0 |
| 37.9 | 88.2 |
| 32.4 | 86.0 |
| 33.9 | 81.1 |
| 37.3 | 66.4 |
| 35.0 | 45.7 |
| 50.2 | 40.7 |
| 35.7 | 35.3 |
| 34.9 | 33.2 |
| 38.1 | 32.9 |
| 62.6 | 28.3 |
| 30.9 | 28.0 |



(2)
Structure and computed X-ray powder pattern of Dy3In2Pd6 (a cell relaxed with PBE; Cu Kα (λ = 1.5418 Å)).

Atomic structure:
Cell: 8.3810 8.3810 8.3810 Å, 109.47 109.47 109.47°
Element x y z (fractional)
1 Dy 0.0000 0.2936 0.2936
2 Dy 0.0000 0.7064 0.7064
3 Dy 0.2936 0.0000 0.2936
4 Dy 0.2936 0.2936 0.0000
5 Dy 0.7064 0.0000 0.7064
6 Dy 0.7064 0.7064 0.0000
7 In 0.0000 0.0000 0.5000
8 In 0.0000 0.5000 0.0000
9 In 0.5000 0.0000 0.0000
10 In 0.5000 0.5000 0.5000
11 Pd 0.0000 0.3449 0.6551
12 Pd 0.0000 0.6551 0.3449
13 Pd 0.3102 0.6551 0.6551
14 Pd 0.3449 0.0000 0.6551
15 Pd 0.3449 0.3449 0.6898
16 Pd 0.3449 0.6551 0.0000
17 Pd 0.3449 0.6898 0.3449
18 Pd 0.6551 0.0000 0.3449
19 Pd 0.6551 0.3102 0.6551
20 Pd 0.6551 0.3449 0.0000
21 Pd 0.6551 0.6551 0.3102
22 Pd 0.6898 0.3449 0.3449

Principal peaks in the range 2θ from 10° to 90°, in order of falling intensity:
| 2θ (°) | I_rel |
| --- | --- |
| 39.5 | 100.0 |
| 32.0 | 31.5 |
| 71.7 | 27.8 |
| 34.7 | 22.9 |
| 29.2 | 16.4 |
| 63.8 | 15.4 |
| 41.7 | 14.7 |
| 12.9 | 14.7 |
| 37.2 | 14.4 |
| 80.7 | 12.1 |
| 58.8 | 10.9 |
| 51.7 | 10.9 |



Repeat the second record exactly.
Structure and computed X-ray powder pattern of Dy3In2Pd6 (a cell relaxed with PBE; Cu Kα (λ = 1.5418 Å)).

Atomic structure:
Cell: 8.3810 8.3810 8.3810 Å, 109.47 109.47 109.47°
Element x y z (fractional)
1 Dy 0.0000 0.2936 0.2936
2 Dy 0.0000 0.7064 0.7064
3 Dy 0.2936 0.0000 0.2936
4 Dy 0.2936 0.2936 0.0000
5 Dy 0.7064 0.0000 0.7064
6 Dy 0.7064 0.7064 0.0000
7 In 0.0000 0.0000 0.5000
8 In 0.0000 0.5000 0.0000
9 In 0.5000 0.0000 0.0000
10 In 0.5000 0.5000 0.5000
11 Pd 0.0000 0.3449 0.6551
12 Pd 0.0000 0.6551 0.3449
13 Pd 0.3102 0.6551 0.6551
14 Pd 0.3449 0.0000 0.6551
15 Pd 0.3449 0.3449 0.6898
16 Pd 0.3449 0.6551 0.0000
17 Pd 0.3449 0.6898 0.3449
18 Pd 0.6551 0.0000 0.3449
19 Pd 0.6551 0.3102 0.6551
20 Pd 0.6551 0.3449 0.0000
21 Pd 0.6551 0.6551 0.3102
22 Pd 0.6898 0.3449 0.3449

Principal peaks in the range 2θ from 10° to 90°, in order of falling intensity:
| 2θ (°) | I_rel |
| --- | --- |
| 39.5 | 100.0 |
| 32.0 | 31.5 |
| 71.7 | 27.8 |
| 34.7 | 22.9 |
| 29.2 | 16.4 |
| 63.8 | 15.4 |
| 41.7 | 14.7 |
| 12.9 | 14.7 |
| 37.2 | 14.4 |
| 80.7 | 12.1 |
| 58.8 | 10.9 |
| 51.7 | 10.9 |